# 1
The following is a computed powder diffractogram of TlCl3. It was derived from a cell relaxed with PBE, using Cu Kα.
Neutral-atom scattering factors, no anomalous dispersion.

Crystal structure
Lattice parameters (Å, degrees): 13.0190 11.1518 7.3685 90.00 90.00 90.00
Space group Pnma (No. 62)
Symmetry-distinct sites (fractional):
1 Tl 0.2485 0.2500 0.1730
2 Cl 0.0861 0.2500 0.3222
3 Cl 0.1663 0.5683 0.5872

The 10 most intense peaks (2θ from 10° to 80°), by angle:
Position (°2θ)	Rel. int.	index
13.60	519	2 0 0
14.41	1000	0 1 1
15.92	619	0 2 0
19.86	518	2 1 1
20.98	195	2 2 0
25.12	350	1 0 2
31.85	225	4 2 0
35.80	156	3 2 2
43.07	164	3 1 3
44.72	144	2 5 1


# 2
The following is a computed powder diffractogram of Tl2Cl3. It was derived from a cell relaxed with PBE, using Cu Kα.
Neutral-atom scattering factors, no anomalous dispersion.

Crystal structure
Lattice parameters (Å, degrees): 4.5843 4.5843 27.0797 90.00 90.00 120.00
Space group R-3m (No. 166, hexagonal axes)
Symmetry-distinct sites (fractional):
1 Tl 0.0000 0.0000 0.0986
2 Cl 0.0000 0.0000 0.2804
3 Cl 0.0000 0.0000 0.5000

The 10 most intense peaks (2θ from 10° to 80°), by angle:
Position (°2θ)	Rel. int.	index
19.67	335	0 0 6
22.64	495	1 0 1
26.02	236	1 0 4
27.86	1000	0 1 5
39.31	415	1 1 0
40.32	317	1 0 10
43.24	171	0 1 11
44.32	254	1 1 6
48.87	210	2 0 5
64.43	182	1 2 5


# 3
The following is a computed powder diffractogram of TlCl3. It was derived from a cell relaxed with PBE, using Cu Kα.
Neutral-atom scattering factors, no anomalous dispersion.

Crystal structure
Lattice parameters (Å, degrees): 6.7664 11.7082 6.9101 90.00 108.69 90.00
Space group C2/m (No. 12)
Symmetry-distinct sites (fractional):
1 Tl 0.0000 0.1665 0.0000
2 Cl 0.2168 0.0000 0.2321
3 Cl 0.2461 0.1788 0.7702

The 10 most intense peaks (2θ from 10° to 80°), by angle:
Position (°2θ)	Rel. int.	index
13.53	1000	0 0 1
15.13	204	0 2 0
15.76	371	1 1 0
17.67	268	1 1 -1
26.75	514	2 0 -1
32.10	527	1 3 1
32.23	261	2 0 -2
41.79	203	1 3 2
45.75	185	1 3 -3
46.52	264	0 6 0


# 4
The following is a computed powder diffractogram of TmCl3. It was derived from a cell relaxed with PBE, using Cu Kα.
Neutral-atom scattering factors, no anomalous dispersion.

Crystal structure
Lattice parameters (Å, degrees): 6.6579 6.6579 18.0434 90.00 90.00 120.00
Space group R-3c (No. 167, hexagonal axes)
Symmetry-distinct sites (fractional):
1 Tm 0.0000 0.0000 0.0000
2 Cl 0.0000 0.3571 0.2500

The 10 most intense peaks (2θ from 10° to 80°), by angle:
Position (°2θ)	Rel. int.	index
18.26	1000	0 1 2
25.06	375	1 0 4
26.78	161	1 1 0
30.70	155	1 1 3
32.61	167	2 0 2
37.01	191	0 2 4
40.42	408	1 1 6
42.68	202	1 2 2
46.27	168	2 1 4
47.30	186	3 0 0